# 1
The following is a computed powder X-ray diffraction pattern of Fe5HO8. It was derived from a DFT-relaxed cell (PBE+U, the Materials Project), using Cu Kα, 1.54184 Å.

Structure:
```
28
Lattice="2.9815 -5.1646 0.0000 2.9815 5.1646 0.0000 0.0000 0.0000 9.2678" Properties=species:S:1:pos:R:3 pbc="T T T"
Fe 1.4897 0.8593 6.5486
Fe 2.9815 3.4364 4.6339
Fe 2.9815 3.4419 8.2032
Fe 1.4897 -0.8593 1.9147
Fe 2.9815 1.7218 1.9667
Fe 2.9815 -1.7218 6.6006
Fe 4.4733 0.8593 6.5486
Fe 2.9815 -3.4364 0.0000
Fe 2.9815 -3.4419 3.5693
Fe 4.4733 -0.8593 1.9147
H 2.9815 0.0264 4.0272
H 2.9815 -0.0264 8.6611
O 2.9815 5.0129 3.1955
O 1.6490 2.6338 3.1482
O 2.9815 3.4184 0.8700
O 1.5398 0.8880 0.9820
O 2.9815 1.7114 5.5929
O 1.5398 -0.8880 5.6159
O 4.3140 2.6338 3.1482
O 2.9815 0.0221 3.0415
O 2.9815 -0.0221 7.6754
O 1.6490 -2.6338 7.7821
O 4.4232 0.8880 0.9820
O 2.9815 -1.7114 0.9590
O 4.4232 -0.8880 5.6159
O 2.9815 -3.4184 5.5039
O 4.3140 -2.6338 7.7821
O 2.9815 -5.0129 7.8294
```

The 8 most intense peaks (10° ≤ 2θ ≤ 90°), sorted by position:
d 4.634, intensity 41
d 3.449, intensity 64
d 2.651, intensity 92
d 2.507, intensity 100
d 2.487, intensity 97
d 1.650, intensity 50
d 1.506, intensity 71
d 1.491, intensity 65

# 2
The following is a computed powder X-ray diffraction pattern of FeHO2. It was derived from a DFT-relaxed cell (PBE+U, the Materials Project), using Cu Kα, 1.54184 Å.

Structure:
```
16
Lattice="2.9757 0.0000 0.0000 0.0000 12.8488 0.0000 -0.0098 0.0000 4.6938" Properties=species:S:1:pos:R:3 pbc="T T T"
Fe 0.2743 0.0000 1.4428
Fe 1.1926 8.5859 1.1087
Fe 1.7733 2.1615 3.5850
Fe 2.6916 6.4244 3.2509
H 0.2586 2.4335 1.1664
H 0.9910 4.4927 3.7916
H 1.9749 10.9171 0.9022
H 2.7073 8.8579 3.5273
O 0.2615 1.7607 0.4115
O 0.2853 3.1114 2.8382
O 1.2078 6.9391 2.0715
O 1.2049 5.3996 4.1351
O 1.7610 11.8240 0.5587
O 1.7581 0.5147 2.6223
O 2.6806 9.5358 1.8555
O 2.7044 8.1851 4.2822
```

The 8 most intense peaks (10° ≤ 2θ ≤ 90°), sorted by position:
d 6.424, intensity 100
d 4.409, intensity 89
d 3.164, intensity 73
d 2.651, intensity 22
d 2.467, intensity 50
d 2.344, intensity 22
d 1.797, intensity 20
d 1.773, intensity 21